(1)
Simulated PXRD pattern of NdMo6S8 for λ = 1.5418 Å (Cu Kα), from a GGA-PBE-relaxed structure.

The 12 most intense peaks (10° ≤ 2θ ≤ 90°), sorted by position:
2θ/deg, Rel. int.
13.5, 100
19.0, 71
19.3, 56
23.6, 30
30.7, 79
33.6, 67
40.7, 58
41.6, 82
43.5, 66
43.9, 36
46.0, 99
59.9, 31

Crystal structure
```
data_NdMo6S8
_symmetry_space_group_name_H-M 'P 1'
_symmetry_Int_Tables_number 1
_symmetry_space_group_name_Hall 'P 1'
_cell_length_a 6.5557
_cell_length_b 6.5557
_cell_length_c 6.5557
_cell_angle_alpha 89.07
_cell_angle_beta 89.07
_cell_angle_gamma 89.07
loop_
_atom_site_label
_atom_site_type_symbol
_atom_site_fract_x
_atom_site_fract_y
_atom_site_fract_z
Nd1 Nd 0.0000 0.0000 0.0000
Mo1 Mo 0.2264 0.4190 0.5626
Mo2 Mo 0.4190 0.5626 0.2264
Mo3 Mo 0.4374 0.7736 0.5810
Mo4 Mo 0.5626 0.2264 0.4190
Mo5 Mo 0.5810 0.4374 0.7736
Mo6 Mo 0.7736 0.5810 0.4374
S1 S 0.1264 0.7480 0.3750
S2 S 0.2429 0.2429 0.2429
S3 S 0.2520 0.6250 0.8736
S4 S 0.3750 0.1264 0.7480
S5 S 0.6250 0.8736 0.2520
S6 S 0.7480 0.3750 0.1264
S7 S 0.7571 0.7571 0.7571
S8 S 0.8736 0.2520 0.6250
```


(2)
Simulated PXRD pattern of Ba2GaP4HO14 for λ = 1.5418 Å (Cu Kα), from a GGA-PBE-relaxed structure.

The 12 most intense peaks (10° ≤ 2θ ≤ 90°), sorted by position:
2θ/deg, Rel. int.
22.4, 20
22.6, 32
25.3, 51
26.9, 46
27.2, 30
27.4, 26
28.5, 39
29.5, 100
31.0, 18
39.2, 32
43.2, 20
43.8, 30

Crystal structure
```
data_Ba2GaP4HO14
_symmetry_space_group_name_H-M 'P 1'
_symmetry_Int_Tables_number 1
_symmetry_space_group_name_Hall 'P 1'
_cell_length_a 4.8490
_cell_length_b 7.6636
_cell_length_c 8.6801
_cell_angle_alpha 108.08
_cell_angle_beta 97.04
_cell_angle_gamma 105.78
loop_
_atom_site_label
_atom_site_type_symbol
_atom_site_fract_x
_atom_site_fract_y
_atom_site_fract_z
Ba1 Ba 0.1460 0.4736 0.2410
Ba2 Ba 0.8540 0.5264 0.7590
Ga1 Ga 0.0000 0.0000 0.5000
P1 P 0.3745 0.1718 0.8742
P2 P 0.4542 0.8170 0.6387
P3 P 0.5458 0.1830 0.3613
P4 P 0.6255 0.8282 0.1258
H1 H 0.0000 0.0000 0.0000
O1 O 0.1566 0.1480 0.9884
O2 O 0.2199 0.1324 0.3676
O3 O 0.2519 0.2069 0.7173
O4 O 0.2609 0.8378 0.4949
O5 O 0.3341 0.6694 0.0331
O6 O 0.3440 0.6124 0.6420
O7 O 0.4206 0.9603 0.8115
O8 O 0.5794 0.0397 0.1885
O9 O 0.6560 0.3876 0.3580
O10 O 0.6659 0.3306 0.9669
O11 O 0.7391 0.1622 0.5051
O12 O 0.7481 0.7931 0.2827
O13 O 0.7801 0.8676 0.6324
O14 O 0.8434 0.8520 0.0116
```


(3)
Simulated PXRD pattern of Ba2LaTaO6 for λ = 1.5418 Å (Cu Kα), from a GGA-PBE-relaxed structure.

The 12 most intense peaks (10° ≤ 2θ ≤ 90°), sorted by position:
2θ/deg, Rel. int.
28.8, 33
28.9, 68
29.1, 100
41.3, 37
41.6, 17
50.9, 14
51.3, 15
51.4, 13
51.5, 35
59.9, 11
60.2, 17
68.1, 18

Crystal structure
```
data_Ba2LaTaO6
_symmetry_space_group_name_H-M 'P 1'
_symmetry_Int_Tables_number 1
_symmetry_space_group_name_Hall 'P 1'
_cell_length_a 6.2064
_cell_length_b 6.1493
_cell_length_c 10.6329
_cell_angle_alpha 90.00
_cell_angle_beta 125.19
_cell_angle_gamma 90.00
loop_
_atom_site_label
_atom_site_type_symbol
_atom_site_fract_x
_atom_site_fract_y
_atom_site_fract_z
Ba1 Ba 0.2420 0.0094 0.2480
Ba2 Ba 0.2420 0.4906 0.7480
Ba3 Ba 0.7580 0.5094 0.2520
Ba4 Ba 0.7580 0.9906 0.7520
La1 La 0.5000 0.0000 0.0000
La2 La 0.5000 0.5000 0.5000
Ta1 Ta 0.0000 0.0000 0.5000
Ta2 Ta 0.0000 0.5000 0.0000
O1 O 0.1754 0.2439 0.4623
O2 O 0.1754 0.2561 0.9623
O3 O 0.2017 0.7183 0.9632
O4 O 0.2017 0.7817 0.4632
O5 O 0.2961 0.0056 0.7271
O6 O 0.2961 0.4944 0.2271
O7 O 0.7039 0.5056 0.7729
O8 O 0.7039 0.9944 0.2729
O9 O 0.7983 0.2183 0.5368
O10 O 0.7983 0.2817 0.0368
O11 O 0.8246 0.7439 0.0377
O12 O 0.8246 0.7561 0.5377
```


(4)
Simulated PXRD pattern of PtBr6N4 for λ = 1.5418 Å (Cu Kα), from a GGA-PBE-relaxed structure.

The 12 most intense peaks (10° ≤ 2θ ≤ 90°), sorted by position:
2θ/deg, Rel. int.
14.3, 100
14.9, 12
15.9, 33
24.6, 25
26.9, 13
30.3, 28
32.2, 21
34.1, 33
37.8, 17
39.8, 14
48.5, 12
51.9, 18

Crystal structure
```
data_PtBr6N4
_symmetry_space_group_name_H-M 'P 1'
_symmetry_Int_Tables_number 1
_symmetry_space_group_name_Hall 'P 1'
_cell_length_a 8.1479
_cell_length_b 7.6228
_cell_length_c 7.3138
_cell_angle_alpha 66.08
_cell_angle_beta 58.78
_cell_angle_gamma 55.14
loop_
_atom_site_label
_atom_site_type_symbol
_atom_site_fract_x
_atom_site_fract_y
_atom_site_fract_z
Pt1 Pt 0.0000 0.0000 0.0000
Br1 Br 0.1303 0.1303 0.3697
Br2 Br 0.2156 0.2156 0.7844
Br3 Br 0.2719 0.7281 0.7281
Br4 Br 0.3697 0.3697 0.1303
Br5 Br 0.7281 0.2719 0.2719
Br6 Br 0.7844 0.7844 0.2156
N1 N 0.1326 0.3674 0.1326
N2 N 0.1652 0.8348 0.1652
N3 N 0.3674 0.1326 0.3674
N4 N 0.8348 0.1652 0.8348
```


(5)
Simulated PXRD pattern of Re5Si3 for λ = 1.5418 Å (Cu Kα), from a GGA-PBE-relaxed structure.

The 12 most intense peaks (10° ≤ 2θ ≤ 90°), sorted by position:
2θ/deg, Rel. int.
27.7, 49
29.9, 42
36.3, 28
38.0, 21
38.8, 95
41.1, 32
42.7, 52
43.4, 100
45.6, 68
69.2, 32
70.2, 24
70.8, 24

Crystal structure
```
data_Re5Si3
_symmetry_space_group_name_H-M 'P 1'
_symmetry_Int_Tables_number 1
_symmetry_space_group_name_Hall 'P 1'
_cell_length_a 7.1364
_cell_length_b 7.1364
_cell_length_c 7.1364
_cell_angle_alpha 96.92
_cell_angle_beta 96.92
_cell_angle_gamma 139.38
loop_
_atom_site_label
_atom_site_type_symbol
_atom_site_fract_x
_atom_site_fract_y
_atom_site_fract_z
Re1 Re 0.0732 0.7765 0.8497
Re2 Re 0.2235 0.0732 0.2967
Re3 Re 0.2500 0.7500 0.5000
Re4 Re 0.2765 0.5732 0.8497
Re5 Re 0.4268 0.2765 0.7033
Re6 Re 0.5732 0.7235 0.2967
Re7 Re 0.7235 0.4268 0.1503
Re8 Re 0.7500 0.2500 0.5000
Re9 Re 0.7765 0.9268 0.7033
Re10 Re 0.9268 0.2235 0.1503
Si1 Si 0.1706 0.3294 0.5000
Si2 Si 0.2500 0.2500 0.0000
Si3 Si 0.3294 0.8294 0.1588
Si4 Si 0.6706 0.1706 0.8412
Si5 Si 0.7500 0.7500 0.0000
Si6 Si 0.8294 0.6706 0.5000
```


(6)
Simulated PXRD pattern of SrI2O6 for λ = 1.5418 Å (Cu Kα), from a GGA-PBE-relaxed structure.

The 12 most intense peaks (10° ≤ 2θ ≤ 90°), sorted by position:
2θ/deg, Rel. int.
15.3, 39
21.8, 100
25.9, 24
26.5, 42
27.7, 39
28.6, 52
29.4, 19
29.8, 78
31.0, 64
44.3, 22
48.4, 35
49.9, 43

Crystal structure
```
data_SrI2O6
_symmetry_space_group_name_H-M 'P 1'
_symmetry_Int_Tables_number 1
_symmetry_space_group_name_Hall 'P 1'
_cell_length_a 7.3876
_cell_length_b 7.3876
_cell_length_c 8.1976
_cell_angle_alpha 121.06
_cell_angle_beta 121.06
_cell_angle_gamma 67.04
loop_
_atom_site_label
_atom_site_type_symbol
_atom_site_fract_x
_atom_site_fract_y
_atom_site_fract_z
Sr1 Sr 0.1569 0.8431 0.7500
Sr2 Sr 0.8431 0.1569 0.2500
I1 I 0.2878 0.3422 0.2929
I2 I 0.3422 0.2878 0.7929
I3 I 0.6578 0.7122 0.2071
I4 I 0.7122 0.6578 0.7071
O1 O 0.0844 0.1931 0.6339
O2 O 0.1931 0.0844 0.1339
O3 O 0.2126 0.4137 0.5043
O4 O 0.2564 0.5776 0.9182
O5 O 0.4137 0.2126 0.0043
O6 O 0.4224 0.7436 0.5818
O7 O 0.5776 0.2564 0.4182
O8 O 0.5863 0.7874 0.9957
O9 O 0.7436 0.4224 0.0818
O10 O 0.7874 0.5863 0.4957
O11 O 0.8069 0.9156 0.8661
O12 O 0.9156 0.8069 0.3661
```